Record 1
Starting from a cell relaxed with GGA-PBE, the powder XRD pattern of FeCo was computed for Cu Kα.
Peak positions follow from Bragg's law for the DFT cell and can differ from measured ones.

Largest 3 diffraction maxima, in order of rising 2θ, 10° ≤ 2θ ≤ 90°:
h k l  d [Å]  Rel. int.
1 1 0  2.011  100
2 0 0  1.422  15
2 1 1  1.161  29

Structural model:
Lattice parameters (Å, degrees): 2.8434 2.8434 2.8434 90.00 90.00 90.00
Space group Pm-3m (No. 221)
Asymmetric unit:
Fe 0.0000 0.0000 0.0000
Co 0.5000 0.5000 0.5000

Record 2
Starting from a cell relaxed with GGA-PBE, the powder XRD pattern of Fe3Co was computed for Cu Kα.
Peak positions follow from Bragg's law for the DFT cell and can differ from measured ones.

Largest 5 diffraction maxima, in order of rising 2θ, 10° ≤ 2θ ≤ 90°:
h k l  d [Å]  Rel. int.
2 0 0  2.014  100
2 2 0  1.426  10
0 0 2  1.421  5
3 1 1  1.164  19
2 0 2  1.162  9

Structural model:
Lattice parameters (Å, degrees): 4.0329 4.0329 2.8419 90.00 90.00 90.00
Space group P4/mmm (No. 123)
Asymmetric unit:
Fe 0.0000 0.0000 0.0000
Fe 0.0000 0.5000 0.5000
Co 0.5000 0.5000 0.0000

Record 3
Starting from a cell relaxed with GGA-PBE, the powder XRD pattern of Ga2FeCo was computed for Cu Kα.
Peak positions follow from Bragg's law for the DFT cell and can differ from measured ones.

Largest 5 diffraction maxima, in order of rising 2θ, 10° ≤ 2θ ≤ 90°:
h k l  d [Å]  Rel. int.
1 0 0  2.891  1
1 1 0  2.045  100
2 0 0  1.446  15
2 1 0  1.293  1
2 1 2  1.180  30

Structural model:
Lattice parameters (Å, degrees): 2.8914 2.8914 5.7829 90.00 90.00 90.00
Space group P4/mmm (No. 123)
Asymmetric unit:
Ga 0.0000 0.0000 0.2499
Fe 0.5000 0.5000 0.0000
Co 0.5000 0.5000 0.5000

- Which formula does entry 3 have?
  Ga2FeCo